[1]
# TbCdAg3
Computed powder diffractogram, copper Kα. Input: a crystal structure in Alexandria, relaxed with PBE.
Kinematic intensities with the Lorentz-polarization factor, no thermal factor.

Largest 10 diffraction maxima, low angle first, 2θ from 10° to 90°:
2θ (°), Rel. int.
34.55, 42
35.35, 72
37.68, 52
37.79, 51
38.14, 100
38.89, 24
39.05, 24
50.13, 15
58.97, 15
70.67, 21

Structural model:
```
data_TbCdAg3
_chemical_formula_sum 'Tb2 Cd2 Ag6'
_cell_length_a 5.0789
_cell_length_b 5.1922
_cell_length_c 8.2139
_cell_angle_alpha 72.44
_cell_angle_beta 89.97
_cell_angle_gamma 89.72
_symmetry_space_group_name_H-M 'P 1'
_symmetry_Int_Tables_number 1
loop_
_symmetry_equiv_pos_as_xyz
'x,y,z'
loop_
_atom_site_label
_atom_site_type_symbol
_atom_site_fract_x
_atom_site_fract_y
_atom_site_fract_z
Tb1 Tb 0.2492 0.0892 0.1989
Tb2 Tb 0.7508 0.9108 0.8011
Cd1 Cd 0.2484 0.3180 0.7880
Cd2 Cd 0.7516 0.6820 0.2120
Ag1 Ag 0.2506 0.4764 0.4135
Ag2 Ag 0.2505 0.8944 0.5928
Ag3 Ag 0.2516 0.6839 0.0029
Ag4 Ag 0.7484 0.3161 0.9971
Ag5 Ag 0.7495 0.1056 0.4072
Ag6 Ag 0.7494 0.5236 0.5865
```

[2]
# Tb4Cd3Ag2
Computed powder diffractogram, copper Kα. Input: a crystal structure in Alexandria, relaxed with PBE.
Kinematic intensities with the Lorentz-polarization factor, no thermal factor.

Largest 10 diffraction maxima, low angle first, 2θ from 10° to 90°:
2θ (°), Rel. int.
33.94, 99
35.00, 100
49.55, 34
60.04, 9
62.10, 34
62.77, 18
67.74, 10
73.94, 11
82.08, 7
83.89, 15

Structural model:
```
data_Tb4Cd3Ag2
_chemical_formula_sum 'Tb4 Cd3 Ag2'
_cell_length_a 5.1278
_cell_length_b 5.1278
_cell_length_c 9.8583
_cell_angle_alpha 90.00
_cell_angle_beta 90.00
_cell_angle_gamma 120.00
_symmetry_space_group_name_H-M 'P 1'
_symmetry_Int_Tables_number 1
loop_
_symmetry_equiv_pos_as_xyz
'x,y,z'
loop_
_atom_site_label
_atom_site_type_symbol
_atom_site_fract_x
_atom_site_fract_y
_atom_site_fract_z
Tb1 Tb 0.0000 0.0000 0.1686
Tb2 Tb 0.0000 0.0000 0.8314
Tb3 Tb 0.3333 0.6667 0.3816
Tb4 Tb 0.6667 0.3333 0.6184
Cd1 Cd 0.0000 0.0000 0.5000
Cd2 Cd 0.3333 0.6667 0.0070
Cd3 Cd 0.6667 0.3333 0.9930
Ag1 Ag 0.3333 0.6667 0.6911
Ag2 Ag 0.6667 0.3333 0.3089
```

[3]
# Tb3Cd7Ag
Computed powder diffractogram, copper Kα. Input: a crystal structure in Alexandria, relaxed with PBE.
Kinematic intensities with the Lorentz-polarization factor, no thermal factor.

Largest 10 diffraction maxima, low angle first, 2θ from 10° to 90°:
2θ (°), Rel. int.
31.34, 14
32.29, 40
33.91, 50
34.88, 100
34.98, 96
35.31, 11
35.41, 13
37.36, 13
52.83, 22
64.27, 15

Structural model:
```
data_Tb3Cd7Ag
_chemical_formula_sum 'Tb6 Cd14 Ag2'
_cell_length_a 3.4660
_cell_length_b 11.4580
_cell_length_c 13.5999
_cell_angle_alpha 84.63
_cell_angle_beta 82.80
_cell_angle_gamma 89.98
_symmetry_space_group_name_H-M 'P 1'
_symmetry_Int_Tables_number 1
loop_
_symmetry_equiv_pos_as_xyz
'x,y,z'
loop_
_atom_site_label
_atom_site_type_symbol
_atom_site_fract_x
_atom_site_fract_y
_atom_site_fract_z
Tb1 Tb 0.0690 0.3728 0.3595
Tb2 Tb 0.0747 0.0343 0.3447
Tb3 Tb 0.2279 0.7207 0.0402
Tb4 Tb 0.7721 0.2793 0.9598
Tb5 Tb 0.9253 0.9657 0.6553
Tb6 Tb 0.9310 0.6272 0.6405
Cd1 Cd 0.2027 0.4382 0.0998
Cd2 Cd 0.2140 0.0682 0.0733
Cd3 Cd 0.3408 0.1150 0.8212
Cd4 Cd 0.3571 0.7747 0.7943
Cd5 Cd 0.3598 0.4132 0.7795
Cd6 Cd 0.4668 0.4026 0.5678
Cd7 Cd 0.4953 0.1610 0.5088
Cd8 Cd 0.5047 0.8390 0.4912
Cd9 Cd 0.5332 0.5974 0.4322
Cd10 Cd 0.6402 0.5868 0.2205
Cd11 Cd 0.6429 0.2253 0.2057
Cd12 Cd 0.6592 0.8850 0.1788
Cd13 Cd 0.7860 0.9318 0.9267
Cd14 Cd 0.7973 0.5618 0.9002
Ag1 Ag 0.0883 0.7642 0.3228
Ag2 Ag 0.9117 0.2358 0.6772
```

[4]
# Tb2Cd12Ag
Computed powder diffractogram, copper Kα. Input: a crystal structure in Alexandria, relaxed with PBE.
Kinematic intensities with the Lorentz-polarization factor, no thermal factor.

Largest 10 diffraction maxima, low angle first, 2θ from 10° to 90°:
2θ (°), Rel. int.
27.71, 49
30.23, 100
34.52, 50
35.07, 42
37.47, 44
39.19, 22
40.78, 39
40.99, 71
50.20, 22
61.33, 33

Structural model:
```
data_Tb2Cd12Ag
_chemical_formula_sum 'Tb4 Cd24 Ag2'
_cell_length_a 6.2271
_cell_length_b 6.2271
_cell_length_c 18.8685
_cell_angle_alpha 90.00
_cell_angle_beta 90.00
_cell_angle_gamma 90.00
_symmetry_space_group_name_H-M 'P 1'
_symmetry_Int_Tables_number 1
loop_
_symmetry_equiv_pos_as_xyz
'x,y,z'
loop_
_atom_site_label
_atom_site_type_symbol
_atom_site_fract_x
_atom_site_fract_y
_atom_site_fract_z
Tb1 Tb 0.2500 0.7500 0.2474
Tb2 Tb 0.2500 0.7500 0.7526
Tb3 Tb 0.7500 0.2500 0.2474
Tb4 Tb 0.7500 0.2500 0.7526
Cd1 Cd 0.0000 0.0000 0.4064
Cd2 Cd 0.0000 0.0000 0.5936
Cd3 Cd 0.0000 0.5000 0.4064
Cd4 Cd 0.0000 0.5000 0.5936
Cd5 Cd 0.0815 0.5815 0.0681
Cd6 Cd 0.0815 0.9185 0.9319
Cd7 Cd 0.2500 0.2500 0.1626
Cd8 Cd 0.2500 0.2500 0.3064
Cd9 Cd 0.2500 0.2500 0.6936
Cd10 Cd 0.2500 0.2500 0.8374
Cd11 Cd 0.4185 0.5815 0.9319
Cd12 Cd 0.4185 0.9185 0.0681
Cd13 Cd 0.5000 0.0000 0.4064
Cd14 Cd 0.5000 0.0000 0.5936
Cd15 Cd 0.5000 0.5000 0.4064
Cd16 Cd 0.5000 0.5000 0.5936
Cd17 Cd 0.5815 0.0815 0.9319
Cd18 Cd 0.5815 0.4185 0.0681
Cd19 Cd 0.7500 0.7500 0.1626
Cd20 Cd 0.7500 0.7500 0.3064
Cd21 Cd 0.7500 0.7500 0.6936
Cd22 Cd 0.7500 0.7500 0.8374
Cd23 Cd 0.9185 0.0815 0.0681
Cd24 Cd 0.9185 0.4185 0.9319
Ag1 Ag 0.2500 0.7500 0.5000
Ag2 Ag 0.7500 0.2500 0.5000
```

[5]
# CdTc2Ag
Computed powder diffractogram, copper Kα. Input: a crystal structure in Alexandria, relaxed with PBE.
Kinematic intensities with the Lorentz-polarization factor, no thermal factor.

Largest 10 diffraction maxima, low angle first, 2θ from 10° to 90°:
2θ (°), Rel. int.
27.96, 5
37.58, 32
38.74, 100
44.70, 63
64.27, 16
65.85, 20
76.90, 8
78.37, 21
79.09, 12
83.11, 10

Structural model:
```
data_CdTc2Ag
_chemical_formula_sum 'Cd3 Tc6 Ag3'
_cell_length_a 2.8368
_cell_length_b 2.8368
_cell_length_c 28.7199
_cell_angle_alpha 90.00
_cell_angle_beta 90.00
_cell_angle_gamma 120.00
_symmetry_space_group_name_H-M 'P 1'
_symmetry_Int_Tables_number 1
loop_
_symmetry_equiv_pos_as_xyz
'x,y,z'
loop_
_atom_site_label
_atom_site_type_symbol
_atom_site_fract_x
_atom_site_fract_y
_atom_site_fract_z
Cd1 Cd 0.0000 0.0000 0.0000
Cd2 Cd 0.3333 0.6667 0.6667
Cd3 Cd 0.6667 0.3333 0.3333
Tc1 Tc 0.0000 0.0000 0.4914
Tc2 Tc 0.0000 0.0000 0.7550
Tc3 Tc 0.3333 0.6667 0.1581
Tc4 Tc 0.3333 0.6667 0.4217
Tc5 Tc 0.6667 0.3333 0.0883
Tc6 Tc 0.6667 0.3333 0.8247
Ag1 Ag 0.0000 0.0000 0.2443
Ag2 Ag 0.3333 0.6667 0.9110
Ag3 Ag 0.6667 0.3333 0.5776
```

[6]
# Cd2Tc2Ag
Computed powder diffractogram, copper Kα. Input: a crystal structure in Alexandria, relaxed with PBE.
Kinematic intensities with the Lorentz-polarization factor, no thermal factor.

Largest 10 diffraction maxima, low angle first, 2θ from 10° to 90°:
2θ (°), Rel. int.
30.69, 39
34.64, 17
37.93, 100
38.64, 74
43.14, 34
51.91, 39
66.55, 28
71.57, 29
72.44, 13
88.72, 17

Structural model:
```
data_Cd2Tc2Ag
_chemical_formula_sum 'Cd4 Tc4 Ag2'
_cell_length_a 3.5226
_cell_length_b 3.5226
_cell_length_c 15.5384
_cell_angle_alpha 90.00
_cell_angle_beta 90.00
_cell_angle_gamma 90.00
_symmetry_space_group_name_H-M 'P 1'
_symmetry_Int_Tables_number 1
loop_
_symmetry_equiv_pos_as_xyz
'x,y,z'
loop_
_atom_site_label
_atom_site_type_symbol
_atom_site_fract_x
_atom_site_fract_y
_atom_site_fract_z
Cd1 Cd 0.0000 0.0000 0.0993
Cd2 Cd 0.0000 0.0000 0.9007
Cd3 Cd 0.5000 0.5000 0.4007
Cd4 Cd 0.5000 0.5000 0.5993
Tc1 Tc 0.0000 0.5000 0.2500
Tc2 Tc 0.0000 0.5000 0.7500
Tc3 Tc 0.5000 0.0000 0.2500
Tc4 Tc 0.5000 0.0000 0.7500
Ag1 Ag 0.0000 0.0000 0.5000
Ag2 Ag 0.5000 0.5000 0.0000
```

[7]
# CdAg5Te4
Computed powder diffractogram, copper Kα. Input: a crystal structure in Alexandria, relaxed with PBE.
Kinematic intensities with the Lorentz-polarization factor, no thermal factor.

Largest 10 diffraction maxima, low angle first, 2θ from 10° to 90°:
2θ (°), Rel. int.
20.56, 20
23.47, 25
30.28, 100
35.52, 27
41.40, 28
42.31, 95
43.54, 21
61.63, 15
75.92, 14
76.12, 16

Structural model:
```
data_CdAg5Te4
_chemical_formula_sum 'Cd1 Ag5 Te4'
_cell_length_a 8.9174
_cell_length_b 8.9174
_cell_length_c 8.9174
_cell_angle_alpha 151.68
_cell_angle_beta 124.42
_cell_angle_gamma 63.54
_symmetry_space_group_name_H-M 'P 1'
_symmetry_Int_Tables_number 1
loop_
_symmetry_equiv_pos_as_xyz
'x,y,z'
loop_
_atom_site_label
_atom_site_type_symbol
_atom_site_fract_x
_atom_site_fract_y
_atom_site_fract_z
Cd1 Cd 0.0000 0.0000 0.0000
Ag1 Ag 0.0512 0.3136 0.7376
Ag2 Ag 0.4240 0.6864 0.7376
Ag3 Ag 0.5000 0.0000 0.5000
Ag4 Ag 0.5760 0.3136 0.2624
Ag5 Ag 0.9488 0.6864 0.2624
Te1 Te 0.1959 0.1959 0.0000
Te2 Te 0.2768 0.5000 0.7768
Te3 Te 0.7232 0.5000 0.2232
Te4 Te 0.8041 0.8041 0.0000
```

[8]
# ThCd4Ag4
Computed powder diffractogram, copper Kα. Input: a crystal structure in Alexandria, relaxed with PBE.
Kinematic intensities with the Lorentz-polarization factor, no thermal factor.

Largest 10 diffraction maxima, low angle first, 2θ from 10° to 90°:
2θ (°), Rel. int.
28.50, 54
31.02, 50
34.76, 87
36.74, 51
40.15, 100
48.83, 28
51.09, 19
64.57, 19
68.47, 20
68.67, 22

Structural model:
```
data_ThCd4Ag4
_chemical_formula_sum 'Th1 Cd4 Ag4'
_cell_length_a 6.8940
_cell_length_b 6.8940
_cell_length_c 6.8940
_cell_angle_alpha 97.23
_cell_angle_beta 97.23
_cell_angle_gamma 138.44
_symmetry_space_group_name_H-M 'P 1'
_symmetry_Int_Tables_number 1
loop_
_symmetry_equiv_pos_as_xyz
'x,y,z'
loop_
_atom_site_label
_atom_site_type_symbol
_atom_site_fract_x
_atom_site_fract_y
_atom_site_fract_z
Th1 Th 0.0000 0.0000 0.0000
Cd1 Cd 0.0875 0.6363 0.7238
Cd2 Cd 0.3637 0.0875 0.4512
Cd3 Cd 0.6363 0.9125 0.5488
Cd4 Cd 0.9125 0.3637 0.2762
Ag1 Ag 0.2983 0.3890 0.6873
Ag2 Ag 0.3890 0.7017 0.0907
Ag3 Ag 0.6110 0.2983 0.9093
Ag4 Ag 0.7017 0.6110 0.3127
```

[9]
# Th2Cd3Ag2
Computed powder diffractogram, copper Kα. Input: a crystal structure in Alexandria, relaxed with PBE.
Kinematic intensities with the Lorentz-polarization factor, no thermal factor.

Largest 10 diffraction maxima, low angle first, 2θ from 10° to 90°:
2θ (°), Rel. int.
29.02, 22
30.97, 37
32.46, 100
35.12, 47
35.82, 49
37.36, 28
38.94, 22
52.72, 21
62.25, 15
67.60, 14

Structural model:
```
data_Th2Cd3Ag2
_chemical_formula_sum 'Th4 Cd6 Ag4'
_cell_length_a 10.6925
_cell_length_b 10.6925
_cell_length_c 6.6914
_cell_angle_alpha 90.00
_cell_angle_beta 90.00
_cell_angle_gamma 152.88
_symmetry_space_group_name_H-M 'P 1'
_symmetry_Int_Tables_number 1
loop_
_symmetry_equiv_pos_as_xyz
'x,y,z'
loop_
_atom_site_label
_atom_site_type_symbol
_atom_site_fract_x
_atom_site_fract_y
_atom_site_fract_z
Th1 Th 0.0259 0.9741 0.7500
Th2 Th 0.1550 0.8450 0.2500
Th3 Th 0.8450 0.1550 0.7500
Th4 Th 0.9741 0.0259 0.2500
Cd1 Cd 0.1868 0.8132 0.7500
Cd2 Cd 0.4293 0.5707 0.5336
Cd3 Cd 0.4293 0.5707 0.9664
Cd4 Cd 0.5707 0.4293 0.0336
Cd5 Cd 0.5707 0.4293 0.4664
Cd6 Cd 0.8132 0.1868 0.2500
Ag1 Ag 0.2936 0.7064 0.0207
Ag2 Ag 0.2936 0.7064 0.4793
Ag3 Ag 0.7064 0.2936 0.5207
Ag4 Ag 0.7064 0.2936 0.9793
```

[10]
# Th2Cd3Ag
Computed powder diffractogram, copper Kα. Input: a crystal structure in Alexandria, relaxed with PBE.
Kinematic intensities with the Lorentz-polarization factor, no thermal factor.

Largest 10 diffraction maxima, low angle first, 2θ from 10° to 90°:
2θ (°), Rel. int.
20.21, 17
33.58, 100
35.38, 78
49.58, 33
62.37, 33
63.51, 14
66.80, 24
74.85, 8
84.58, 14
88.59, 12

Structural model:
```
data_Th2Cd3Ag
_chemical_formula_sum 'Th2 Cd3 Ag1'
_cell_length_a 3.3592
_cell_length_b 5.0713
_cell_length_c 8.7932
_cell_angle_alpha 90.00
_cell_angle_beta 90.00
_cell_angle_gamma 90.00
_symmetry_space_group_name_H-M 'P 1'
_symmetry_Int_Tables_number 1
loop_
_symmetry_equiv_pos_as_xyz
'x,y,z'
loop_
_atom_site_label
_atom_site_type_symbol
_atom_site_fract_x
_atom_site_fract_y
_atom_site_fract_z
Th1 Th 0.0000 0.0000 0.0000
Th2 Th 0.0000 0.5000 0.4861
Cd1 Cd 0.5000 0.0000 0.6580
Cd2 Cd 0.5000 0.5000 0.1609
Cd3 Cd 0.5000 0.5000 0.8249
Ag1 Ag 0.5000 0.0000 0.3275
```

[11]
# ThCd10Ag2
Computed powder diffractogram, copper Kα. Input: a crystal structure in Alexandria, relaxed with PBE.
Kinematic intensities with the Lorentz-polarization factor, no thermal factor.

Largest 10 diffraction maxima, low angle first, 2θ from 10° to 90°:
2θ (°), Rel. int.
30.60, 18
31.05, 49
35.66, 73
36.06, 100
36.19, 57
40.15, 44
40.63, 21
58.00, 25
64.74, 27
65.00, 22

Structural model:
```
data_ThCd10Ag2
_chemical_formula_sum 'Th1 Cd10 Ag2'
_cell_length_a 9.9288
_cell_length_b 7.6103
_cell_length_c 7.5986
_cell_angle_alpha 81.51
_cell_angle_beta 49.30
_cell_angle_gamma 49.19
_symmetry_space_group_name_H-M 'P 1'
_symmetry_Int_Tables_number 1
loop_
_symmetry_equiv_pos_as_xyz
'x,y,z'
loop_
_atom_site_label
_atom_site_type_symbol
_atom_site_fract_x
_atom_site_fract_y
_atom_site_fract_z
Th1 Th 0.0000 0.0000 0.0000
Cd1 Cd 0.0000 0.5000 0.0000
Cd2 Cd 0.0060 0.6508 0.3492
Cd3 Cd 0.2863 0.5036 0.4964
Cd4 Cd 0.3492 0.9940 0.0060
Cd5 Cd 0.4964 0.7137 0.2863
Cd6 Cd 0.5000 0.0000 0.5000
Cd7 Cd 0.5036 0.2863 0.7137
Cd8 Cd 0.6508 0.0060 0.9940
Cd9 Cd 0.7137 0.4964 0.5036
Cd10 Cd 0.9940 0.3492 0.6508
Ag1 Ag 0.0000 0.0000 0.5000
Ag2 Ag 0.5000 0.5000 0.0000
```

[12]
# Th2CdAg4
Computed powder diffractogram, copper Kα. Input: a crystal structure in Alexandria, relaxed with PBE.
Kinematic intensities with the Lorentz-polarization factor, no thermal factor.

Largest 10 diffraction maxima, low angle first, 2θ from 10° to 90°:
2θ (°), Rel. int.
29.77, 16
33.27, 16
34.16, 100
34.34, 94
36.54, 49
41.24, 21
41.33, 28
56.30, 43
64.25, 15
64.36, 15

Structural model:
```
data_Th2CdAg4
_chemical_formula_sum 'Th4 Cd2 Ag8'
_cell_length_a 9.7472
_cell_length_b 4.9188
_cell_length_c 6.9351
_cell_angle_alpha 90.00
_cell_angle_beta 97.94
_cell_angle_gamma 90.00
_symmetry_space_group_name_H-M 'P 1'
_symmetry_Int_Tables_number 1
loop_
_symmetry_equiv_pos_as_xyz
'x,y,z'
loop_
_atom_site_label
_atom_site_type_symbol
_atom_site_fract_x
_atom_site_fract_y
_atom_site_fract_z
Th1 Th 0.2073 0.0000 0.1865
Th2 Th 0.2927 0.5000 0.8135
Th3 Th 0.7073 0.5000 0.1865
Th4 Th 0.7927 0.0000 0.8135
Cd1 Cd 0.0000 0.5000 0.0000
Cd2 Cd 0.5000 0.0000 0.0000
Ag1 Ag 0.0940 0.0000 0.6832
Ag2 Ag 0.1126 0.5000 0.4050
Ag3 Ag 0.3874 0.0000 0.5950
Ag4 Ag 0.4060 0.5000 0.3168
Ag5 Ag 0.5940 0.5000 0.6832
Ag6 Ag 0.6126 0.0000 0.4050
Ag7 Ag 0.8874 0.5000 0.5950
Ag8 Ag 0.9060 0.0000 0.3168
```